Starting from a crystal structure in Alexandria, relaxed with PBE, the powder diffractogram of SmTh2ScBi5 was simulated for Cu Kα (weighted mean of Kα1 and Kα2).
Intensities are scaled so that the largest is 100.

Structural model:
```
data_SmTh2ScBi5
_chemical_formula_sum 'Sm1 Th2 Sc1 Bi5'
_space_group_name_H-M_alt 'P 4/m m m'
_space_group_IT_number 123
_space_group_name_Hall '-P 4 2'
_cell_length_a 5.534
_cell_length_b 5.534
_cell_length_c 11.412
_cell_angle_alpha 90.00
_cell_angle_beta 90.00
_cell_angle_gamma 90.00
loop_
_atom_site_label
_atom_site_type_symbol
_atom_site_fract_x
_atom_site_fract_y
_atom_site_fract_z
Sm1 Sm 0.000 0.000 0.000
Th1 Th 0.500 0.500 0.200
Sc1 Sc 0.000 0.000 0.500
Bi1 Bi 0.000 0.000 0.262
Bi2 Bi 0.000 0.500 0.000
Bi3 Bi 0.500 0.500 0.500
```

Peak list (6 most intense, 2θ from 10° to 80°, sorted by position)
2θ 22.72, I = 62, hkl 1 1 0; 2θ 27.64, I = 65, hkl 1 1 2; 2θ 28.47, I = 57, hkl 1 0 3; 2θ 32.35, I = 100, hkl 2 0 0; 2θ 32.83, I = 42, hkl 1 1 3; 2θ 45.67, I = 51, hkl 2 0 4